(1)
Starting from DFT lattice parameters and positions (PBE), the powder diffraction line list of SiW3CN was computed for copper Kα.
Neutral-atom scattering factors, no anomalous dispersion.

Structural model:
```
SiW3CN
1.0
3.047 0.000 0.000
-1.523 2.639 0.000
0.000 0.000 17.908
Si W C N
2 6 2 2
direct
0.000 0.000 0.248
0.000 0.000 0.752
0.000 0.000 0.000
0.000 0.000 0.500
0.333 0.667 0.648
0.333 0.667 0.860
0.667 0.333 0.140
0.667 0.333 0.352
0.333 0.667 0.073
0.667 0.333 0.927
0.333 0.667 0.425
0.667 0.333 0.575
```

Top 10 peaks for 10 to 90 degrees two-theta, low angle first:
hkl  two_theta  d [Å]  I (rel.)
0 0 6  29.94  2.985  33
0 1 1  34.36  2.610  59
1 0 2  35.47  2.531  34
1 0 4  39.65  2.273  100
0 0 8  40.29  2.238  18
0 1 5  42.56  2.124  60
0 1 9  58.06  1.589  23
1 1 0  60.80  1.523  36
1 0 10  62.70  1.482  20
1 1 6  69.25  1.357  20

(2)
Starting from DFT lattice parameters and positions (PBE), the powder diffraction line list of Zr8Si2C3N3 was computed for copper Kα.
Neutral-atom scattering factors, no anomalous dispersion.

Structural model:
```
Zr8Si2C3N3
1.0
3.302 0.000 0.000
-1.651 2.860 0.000
0.000 0.000 24.204
Zr Si C N
8 2 3 3
direct
0.000 0.000 0.162
0.000 0.000 0.335
0.000 0.000 0.665
0.000 0.000 0.838
0.333 0.667 0.555
0.333 0.667 0.944
0.667 0.333 0.056
0.667 0.333 0.445
0.333 0.667 0.752
0.667 0.333 0.248
0.000 0.000 0.500
0.333 0.667 0.385
0.667 0.333 0.615
0.000 0.000 0.000
0.333 0.667 0.109
0.667 0.333 0.891
```

Top 10 peaks for 10 to 90 degrees two-theta, low angle first:
hkl  two_theta  d [Å]  I (rel.)
0 0 8  29.52  3.026  16
1 0 2  32.16  2.783  43
1 0 3  33.24  2.695  21
1 0 4  34.70  2.585  25
0 1 5  36.49  2.462  62
0 0 10  37.15  2.420  24
1 0 6  38.59  2.333  100
1 1 0  55.67  1.651  45
0 1 12  55.77  1.648  25
1 1 10  68.84  1.364  23

(3)
Starting from DFT lattice parameters and positions (PBE), the powder diffraction line list of Zr3SnCN was computed for copper Kα.
Neutral-atom scattering factors, no anomalous dispersion.

Structural model:
```
Zr3SnCN
1.0
3.322 0.000 0.000
-1.661 2.877 0.000
0.000 0.000 20.136
Zr Sn C N
6 2 2 2
direct
0.000 0.000 0.000
0.000 0.000 0.500
0.333 0.667 0.130
0.333 0.667 0.371
0.667 0.333 0.629
0.667 0.333 0.870
0.000 0.000 0.249
0.000 0.000 0.751
0.333 0.667 0.570
0.667 0.333 0.430
0.333 0.667 0.935
0.667 0.333 0.065
```

Top 10 peaks for 10 to 90 degrees two-theta, low angle first:
hkl  two_theta  d [Å]  I (rel.)
1 0 0  31.09  2.877  9
1 0 1  31.41  2.848  18
1 0 3  33.90  2.644  9
0 0 8  35.67  2.517  25
1 0 4  35.95  2.498  100
1 0 5  38.45  2.341  19
1 1 0  55.31  1.661  26
0 1 12  64.26  1.449  17
1 1 8  67.57  1.386  23
0 2 4  67.75  1.383  16

(4)
Starting from DFT lattice parameters and positions (PBE), the powder diffraction line list of Zr8Tl2C3N3 was computed for copper Kα.
Neutral-atom scattering factors, no anomalous dispersion.

Structural model:
```
Zr8Tl2C3N3
1.0
3.339 0.000 0.000
-1.669 2.892 0.000
0.000 0.000 25.557
Zr Tl C N
8 2 3 3
direct
0.000 0.000 0.150
0.000 0.000 0.346
0.000 0.000 0.654
0.000 0.000 0.850
0.333 0.667 0.551
0.333 0.667 0.948
0.667 0.333 0.052
0.667 0.333 0.449
0.333 0.667 0.753
0.667 0.333 0.247
0.000 0.000 0.500
0.333 0.667 0.391
0.667 0.333 0.609
0.000 0.000 0.000
0.333 0.667 0.103
0.667 0.333 0.897
```

Top 10 peaks for 10 to 90 degrees two-theta, low angle first:
hkl  two_theta  d [Å]  I (rel.)
1 0 1  31.13  2.873  56
1 0 4  34.03  2.634  61
0 0 10  35.11  2.556  43
0 1 5  35.67  2.517  100
1 0 6  37.60  2.392  73
1 0 9  44.73  2.026  21
1 0 11  50.38  1.811  21
1 1 0  55.01  1.669  45
0 1 15  63.36  1.468  17
1 1 10  66.94  1.398  52